For Zn9In3Ga2, a DFT-relaxed cell (PBE, Alexandria) gives the calculated X-ray powder pattern in this record (a wavelength of 1.5418 Å).
Peak positions follow from Bragg's law for the DFT cell and can differ from measured ones.

Most intense lines, 10° ≤ 2θ ≤ 90°, by angle:
hkl 1 3 0, 34.75°, 2.582 Å, intensity 24.1
hkl 1 2 3, 34.98°, 2.565 Å, intensity 100.0
hkl 0 3 3, 36.20°, 2.481 Å, intensity 23.2
hkl 1 1 4, 36.40°, 2.468 Å, intensity 27.6
hkl 1 3 2, 37.79°, 2.381 Å, intensity 31.9
hkl 2 0 0, 39.08°, 2.305 Å, intensity 48.4
hkl 0 0 6, 44.09°, 2.054 Å, intensity 34.3
hkl 1 4 7, 70.00°, 1.344 Å, intensity 21.0

Atomic structure:
Cell: 4.6095 9.3485 12.3060 Å, 90.00 90.00 90.00°
Space group Immm (No. 71)
One atom of each set of equivalent atoms:
1 Zn 0.0000 0.0000 0.0000
2 Zn 0.0000 0.1379 0.3347
3 Zn 0.0000 0.2305 0.1286
4 In 0.0000 0.5000 0.0000
5 In 0.0000 0.5000 0.2855
6 Ga 0.0000 0.3227 0.5000

For Pr2Zr2S7, a DFT-relaxed cell (PBE, Alexandria) gives the calculated X-ray powder pattern in this record (a wavelength of 1.5418 Å).
Peak positions follow from Bragg's law for the DFT cell and can differ from measured ones.

Most intense lines, 10° ≤ 2θ ≤ 90°, by angle:
hkl 0 2 2, 24.28°, 3.666 Å, intensity 100.0
hkl 1 0 1, 25.08°, 3.551 Å, intensity 51.1
hkl 0 4 0, 25.62°, 3.478 Å, intensity 32.5
hkl 1 2 1, 28.22°, 3.163 Å, intensity 70.9
hkl 1 4 1, 36.15°, 2.485 Å, intensity 92.0
hkl 1 3 2, 36.63°, 2.454 Å, intensity 34.0
hkl 1 2 3, 41.11°, 2.196 Å, intensity 53.0
hkl 2 0 0, 46.63°, 1.948 Å, intensity 30.0

Atomic structure:
Cell: 3.8960 13.9104 8.6293 Å, 90.00 90.00 90.00°
Space group Imm2 (No. 44)
One atom of each set of equivalent atoms:
1 Pr 0.0000 0.2274 0.0000
2 Zr 0.0000 0.0000 0.2711
3 Zr 0.0000 0.5000 0.2038
4 S 0.0000 0.0000 0.9210
5 S 0.0000 0.1023 0.5258
6 S 0.0000 0.3219 0.2913
7 S 0.0000 0.3767 0.7146

For LiNd2Cd2, a DFT-relaxed cell (PBE, Alexandria) gives the calculated X-ray powder pattern in this record (a wavelength of 1.5418 Å).
Peak positions follow from Bragg's law for the DFT cell and can differ from measured ones.

Most intense lines, 10° ≤ 2θ ≤ 90°, by angle:
hkl 2 0 0, 11.78°, 7.511 Å, intensity 61.9
hkl 4 0 0, 23.69°, 3.755 Å, intensity 60.8
hkl 0 2 1, 32.15°, 2.784 Å, intensity 100.0
hkl 2 0 -2, 32.36°, 2.766 Å, intensity 52.0
hkl 5 1 0, 32.89°, 2.723 Å, intensity 36.4
hkl 2 2 1, 35.40°, 2.536 Å, intensity 54.5
hkl 2 0 2, 36.62°, 2.454 Å, intensity 65.3
hkl 4 2 -1, 38.44°, 2.342 Å, intensity 58.9

Atomic structure:
Cell: 15.2780 6.4424 5.6301 Å, 90.00 100.51 90.00°
Space group C2/c (No. 15)
One atom of each set of equivalent atoms:
1 Li 0.0000 0.1848 0.2500
2 Nd 0.1258 0.3588 0.8296
3 Cd 0.1811 0.1203 0.3602